For Tb12Ho7Tm, the GGA-PBE geometry in Alexandria gives the computed X-ray powder pattern in this record (Cu Kα (weighted mean of Kα1 and Kα2)).
No peak broadening, texture or thermal motion is included.

The 10 most intense peaks (2θ from 10° to 80°), in order of falling intensity:
2θ = 32.05°, d 2.793, I 100
2θ = 29.92°, d 2.986, I 60
2θ = 30.78°, d 2.905, I 42
2θ = 39.53°, d 2.280, I 19
2θ = 27.32°, d 3.264, I 19
2θ = 42.46°, d 2.129, I 18
2θ = 51.73°, d 1.767, I 17
2θ = 39.41°, d 2.286, I 16
2θ = 55.81°, d 1.647, I 15
2θ = 59.51°, d 1.553, I 14

abc: 8.6525 8.6525 8.6525
angles: 94.82 94.82 94.82
Sites, in units of the cell vectors:
Tb1 0.0213 0.3525 0.0845
Tb2 0.0845 0.0213 0.3525
Tb3 0.1866 0.3153 0.7495
Tb4 0.2505 0.8134 0.6847
Tb5 0.3153 0.7495 0.1866
Tb6 0.3525 0.0845 0.0213
Tb7 0.6475 0.9155 0.9787
Tb8 0.6847 0.2505 0.8134
Tb9 0.7495 0.1866 0.3153
Tb10 0.8134 0.6847 0.2505
Tb11 0.9155 0.9787 0.6475
Tb12 0.9787 0.6475 0.9155
Ho1 0.0000 0.0000 0.0000
Ho2 0.1487 0.4787 0.4161
Ho3 0.4161 0.1487 0.4787
Ho4 0.4787 0.4161 0.1487
Ho5 0.5213 0.5839 0.8513
Ho6 0.5839 0.8513 0.5213
Ho7 0.8513 0.5213 0.5839
Tm1 0.5000 0.5000 0.5000

---

For MnGePN, the GGA-PBE geometry in Alexandria gives the computed X-ray powder pattern in this record (Cu Kα (weighted mean of Kα1 and Kα2)).
No peak broadening, texture or thermal motion is included.

The 10 most intense peaks (2θ from 10° to 80°), in order of falling intensity:
2θ = 33.06°, d 2.710, I 100
2θ = 34.62°, d 2.591, I 98
2θ = 45.41°, d 1.997, I 84
2θ = 44.85°, d 2.021, I 68
2θ = 22.40°, d 3.968, I 51
2θ = 48.37°, d 1.882, I 36
2θ = 44.62°, d 2.031, I 27
2θ = 45.91°, d 1.977, I 27
2θ = 62.05°, d 1.496, I 24
2θ = 46.72°, d 1.944, I 23

abc: 4.3196 4.3196 5.1801
angles: 125.60 125.60 40.58
Sites, in units of the cell vectors:
Mn1 0.0000 0.0000 0.0000
Ge1 0.7913 0.7913 0.3923
P1 0.2185 0.2185 0.8058
N1 0.0242 0.0242 0.3920

---

For PrRh3Pb5, the GGA-PBE geometry in Alexandria gives the computed X-ray powder pattern in this record (Cu Kα (weighted mean of Kα1 and Kα2)).
No peak broadening, texture or thermal motion is included.

The 10 most intense peaks (2θ from 10° to 80°), in order of falling intensity:
2θ = 30.63°, d 2.919, I 100
2θ = 26.69°, d 3.340, I 61
2θ = 30.89°, d 2.895, I 54
2θ = 30.43°, d 2.938, I 47
2θ = 18.79°, d 4.722, I 42
2θ = 29.90°, d 2.988, I 41
2θ = 38.05°, d 2.365, I 38
2θ = 38.15°, d 2.359, I 36
2θ = 49.43°, d 1.844, I 30
2θ = 47.39°, d 1.918, I 29

abc: 7.6070 7.6070 10.1922
angles: 113.16 113.16 76.89
Sites, in units of the cell vectors:
Pr1 0.0943 0.0943 0.3006
Pr2 0.9057 0.9057 0.6994
Rh1 0.0000 0.0000 0.0000
Rh2 0.0000 0.0000 0.5000
Rh3 0.3071 0.3071 0.8252
Rh4 0.3553 0.3553 0.3509
Rh5 0.6447 0.6447 0.6491
Rh6 0.6929 0.6929 0.1748
Pb1 0.0586 0.6163 0.3446
Pb2 0.2456 0.2456 0.0438
Pb3 0.2993 0.7007 0.0000
Pb4 0.3837 0.9414 0.6554
Pb5 0.4163 0.4163 0.6483
Pb6 0.5837 0.5837 0.3517
Pb7 0.6163 0.0586 0.3446
Pb8 0.7007 0.2993 0.0000
Pb9 0.7544 0.7544 0.9562
Pb10 0.9414 0.3837 0.6554

---

Please write out number 2 again, unchanged.
For MnGePN, the GGA-PBE geometry in Alexandria gives the computed X-ray powder pattern in this record (Cu Kα (weighted mean of Kα1 and Kα2)).
No peak broadening, texture or thermal motion is included.

The 10 most intense peaks (2θ from 10° to 80°), in order of falling intensity:
2θ = 33.06°, d 2.710, I 100
2θ = 34.62°, d 2.591, I 98
2θ = 45.41°, d 1.997, I 84
2θ = 44.85°, d 2.021, I 68
2θ = 22.40°, d 3.968, I 51
2θ = 48.37°, d 1.882, I 36
2θ = 44.62°, d 2.031, I 27
2θ = 45.91°, d 1.977, I 27
2θ = 62.05°, d 1.496, I 24
2θ = 46.72°, d 1.944, I 23

abc: 4.3196 4.3196 5.1801
angles: 125.60 125.60 40.58
Sites, in units of the cell vectors:
Mn1 0.0000 0.0000 0.0000
Ge1 0.7913 0.7913 0.3923
P1 0.2185 0.2185 0.8058
N1 0.0242 0.0242 0.3920